For CsRbTlO, DFT lattice parameters and positions (GGA-PBE) gives the theoretical powder X-ray diffraction pattern in this record (λ = 1.5418 Å (Cu Kα)).
Neutral-atom scattering factors, no anomalous dispersion.

Structural model:
Unit cell a=3.968 b=5.339 c=13.327 alpha=90.00 beta=90.00 gamma=90.00
Space group Amm2 (No. 38)
Unique sites:
1 Cs 0.000 0.000 0.000 (multiplicity 2)
2 Rb 0.000 0.000 0.330 (multiplicity 2)
3 Tl 0.500 0.000 0.648 (multiplicity 2)
4 O 0.500 0.000 0.482 (multiplicity 2)

Peak list (10 most intense, 10 to 90 degrees two-theta, by angle)
13.29 deg, intensity 14, hkl 0 0 2
26.11 deg, intensity 100, hkl 0 1 3
28.82 deg, intensity 69, hkl 1 1 1
33.57 deg, intensity 21, hkl 0 2 0
35.17 deg, intensity 19, hkl 1 0 4
40.62 deg, intensity 11, hkl 0 0 6
43.04 deg, intensity 19, hkl 1 2 2
44.32 deg, intensity 17, hkl 1 1 5
49.42 deg, intensity 16, hkl 1 2 4
53.41 deg, intensity 18, hkl 2 1 3

---

For CsRb2UO4, DFT lattice parameters and positions (GGA-PBE) gives the theoretical powder X-ray diffraction pattern in this record (λ = 1.5418 Å (Cu Kα)).
Neutral-atom scattering factors, no anomalous dispersion.

Structural model:
Unit cell a=13.087 b=3.667 c=7.375 alpha=90.00 beta=100.17 gamma=90.00
Space group C2/m (No. 12)
Unique sites:
1 Cs 0.000 0.000 0.000 (multiplicity 2)
2 Rb 0.250 0.000 0.727 (multiplicity 4)
3 U 0.000 0.500 0.500 (multiplicity 2)
4 O 0.089 0.000 0.416 (multiplicity 4)
5 O 0.095 0.500 0.749 (multiplicity 4)

Peak list (10 most intense, 10 to 90 degrees two-theta, by angle)
12.19 deg, intensity 35, hkl 0 0 1
13.75 deg, intensity 52, hkl 2 0 0
25.96 deg, intensity 66, hkl 2 0 -2
27.70 deg, intensity 54, hkl 4 0 0
28.67 deg, intensity 96, hkl 1 1 1
30.33 deg, intensity 55, hkl 2 0 2
33.06 deg, intensity 100, hkl 3 1 -1
44.36 deg, intensity 34, hkl 1 1 -3
46.56 deg, intensity 39, hkl 5 1 1
53.33 deg, intensity 34, hkl 6 0 2